1.
Computed powder XRD pattern of Sr3Li2Tl2 for CuKα, from a DFT-relaxed cell (GGA-PBE, Alexandria).

Atomic structure:
```
Sr3Li2Tl2
1.0
4.390 0.000 0.000
0.000 5.033 0.000
0.000 0.000 21.436
Sr Li Tl
6 4 4
Direct
0.000 0.000 0.000
0.000 0.500 0.191
0.000 0.500 0.809
0.500 0.000 0.309
0.500 0.000 0.691
0.500 0.500 0.500
0.000 0.000 0.431
0.000 0.000 0.569
0.500 0.500 0.069
0.500 0.500 0.931
0.000 0.500 0.365
0.000 0.500 0.635
0.500 0.000 0.135
0.500 0.000 0.865
```

Largest 10 diffraction maxima, in order of rising 2θ, 10 to 80 degrees two-theta:
| Position (°2θ) | I (rel.) | index |
| --- | --- | --- |
| 16.5 | 45 | 0 0 4 |
| 18.1 | 73 | 0 1 1 |
| 23.8 | 33 | 1 0 3 |
| 26.9 | 84 | 1 1 0 |
| 28.2 | 51 | 1 1 2 |
| 29.1 | 60 | 1 0 5 |
| 31.8 | 100 | 1 1 4 |
| 34.3 | 64 | 0 1 7 |
| 35.7 | 65 | 0 2 0 |
| 54.6 | 34 | 2 1 7 |



2.
Computed powder XRD pattern of Tm2ScGe3 for CuKα, from a DFT-relaxed cell (GGA-PBE, Alexandria).

Atomic structure:
```
Tm2ScGe3
1.0
4.610 0.000 0.000
0.000 5.717 0.000
0.000 0.000 10.313
Tm Sc Ge
4 2 6
Direct
0.000 0.000 0.174
0.000 0.000 0.826
0.500 0.500 0.326
0.500 0.500 0.674
0.000 0.000 0.500
0.500 0.500 0.000
0.000 0.500 0.144
0.000 0.500 0.500
0.000 0.500 0.856
0.500 0.000 0.000
0.500 0.000 0.356
0.500 0.000 0.644
```

Largest 10 diffraction maxima, in order of rising 2θ, 10 to 80 degrees two-theta:
| Position (°2θ) | I (rel.) | index |
| --- | --- | --- |
| 30.3 | 34 | 1 1 2 |
| 31.3 | 59 | 0 2 0 |
| 32.5 | 100 | 1 0 3 |
| 39.1 | 32 | 2 0 0 |
| 45.7 | 77 | 1 2 3 |
| 50.9 | 30 | 2 2 0 |
| 63.1 | 14 | 0 2 6 |
| 74.8 | 18 | 1 4 3 |
| 75.5 | 18 | 3 2 3 |
| 76.8 | 14 | 2 2 6 |



3.
Computed powder XRD pattern of NiRh2 for CuKα, from a DFT-relaxed cell (GGA-PBE, Alexandria).

Atomic structure:
```
NiRh2
1.0
5.948 0.000 0.000
0.000 5.948 0.000
0.000 0.000 4.676
Ni Rh
4 8
Direct
0.000 0.000 0.250
0.000 0.000 0.750
0.500 0.500 0.250
0.500 0.500 0.750
0.153 0.347 0.000
0.153 0.653 0.500
0.347 0.153 0.500
0.347 0.847 0.000
0.653 0.153 0.000
0.653 0.847 0.500
0.847 0.347 0.500
0.847 0.653 0.000
```

Largest 10 diffraction maxima, in order of rising 2θ, 10 to 80 degrees two-theta:
| Position (°2θ) | I (rel.) | index |
| --- | --- | --- |
| 38.5 | 10 | 0 0 2 |
| 39.0 | 100 | 2 1 1 |
| 43.0 | 6 | 2 2 0 |
| 44.3 | 23 | 1 1 2 |
| 48.4 | 33 | 3 1 0 |
| 49.6 | 17 | 2 0 2 |
| 68.0 | 9 | 4 1 1 |
| 70.0 | 17 | 2 1 3 |
| 75.8 | 13 | 4 0 2 |
| 79.8 | 15 | 3 3 2 |